Diffraction record for PmAgWO5. The X-ray powder pattern is theoretical, not measured: it uses a DFT-relaxed cell (GGA+U, Alexandria) and Cu Kα.

Structural model:
Lattice parameters (Å, degrees): 6.4342 6.4342 8.7406 109.92 109.92 91.93
Atoms (fractional coordinates):
Pm 0.0000 0.0000 0.0000
Pm 0.0000 0.0000 0.5000
Ag 0.2971 0.7029 0.7500
Ag 0.7029 0.2971 0.2500
W 0.3650 0.6350 0.2500
W 0.6350 0.3650 0.7500
O 0.0683 0.9317 0.7500
O 0.2491 0.7485 0.4170
O 0.2515 0.7509 0.0830
O 0.2907 0.3293 0.1531
O 0.3293 0.2907 0.6531
O 0.6707 0.7093 0.3469
O 0.7093 0.6707 0.8469
O 0.7485 0.2491 0.9170
O 0.7509 0.2515 0.5830
O 0.9317 0.0683 0.2500

Top 10 peaks for 2θ = 5–70°, in order of falling intensity:
2θ (°), d_spacing, I_rel
22.5, 3.952, 100
22.8, 3.898, 88
31.2, 2.866, 60
32.3, 2.775, 45
30.4, 2.942, 39
52.7, 1.738, 24
45.9, 1.977, 22
45.7, 1.987, 22
47.7, 1.906, 20
23.3, 3.812, 19